Record 1
Pr12Mn5C15: computed powder diffractogram (Cu Kα (λ = 1.5418 Å)), based on a structure optimized by DFT (GGA-PBE).
Peak positions follow from Bragg's law for the DFT cell and can differ from measured ones.

Peak list (12 most intense, 2θ = 10–80°, in order of falling intensity)
d (Å)  2θ/deg  intensity
2.960  30.2  100
2.681  33.4  35
2.604  34.4  28
2.707  33.1  28
1.868  48.7  21
1.596  57.8  16
1.906  47.7  11
2.346  38.4  10
3.532  25.2  10
1.609  57.3  9
3.549  25.1  8
1.773  51.5  7

```
Pr12Mn5C15
1.0
10.8426 0.0000 0.0000
-5.4213 9.3900 0.0000
0.0000 0.0000 5.3623
Pr Mn C
12 5 15
direct
0.0000 0.4239 0.0000
0.0000 0.7928 0.0000
0.1868 0.7289 0.5000
0.2072 0.2072 0.0000
0.2711 0.4579 0.5000
0.4239 0.0000 0.0000
0.4579 0.2711 0.5000
0.5421 0.8132 0.5000
0.5761 0.5761 0.0000
0.7289 0.1868 0.5000
0.7928 0.0000 0.0000
0.8132 0.5421 0.5000
0.0000 0.1548 0.5000
0.1548 0.0000 0.5000
0.3333 0.6667 0.0000
0.6667 0.3333 0.0000
0.8452 0.8452 0.5000
0.0000 0.3213 0.5000
0.0000 0.4459 0.5000
0.0000 0.8102 0.5000
0.1898 0.1898 0.5000
0.1959 0.7117 0.0000
0.2883 0.4842 0.0000
0.3213 0.0000 0.5000
0.4459 0.0000 0.5000
0.4842 0.2883 0.0000
0.5158 0.8041 0.0000
0.5541 0.5541 0.5000
0.6787 0.6787 0.5000
0.7117 0.1959 0.0000
0.8041 0.5158 0.0000
0.8102 0.0000 0.5000
```

=====

Record 2
Dy3Bi2: computed powder diffractogram (Cu Kα (λ = 1.5418 Å)), based on a structure optimized by DFT (GGA-PBE).
Peak positions follow from Bragg's law for the DFT cell and can differ from measured ones.

Peak list (12 most intense, 2θ = 10–80°, in order of falling intensity)
d (Å)  2θ/deg  intensity
2.717  33.0  100
2.883  31.0  95
2.815  31.8  59
3.690  24.1  58
2.574  34.9  42
2.448  36.7  37
1.604  57.5  32
1.435  65.0  29
3.359  26.5  29
1.545  59.9  28
1.422  65.7  24
3.007  29.7  20

```
Dy3Bi2
1.0
9.7345 0.0000 0.0000
0.0000 8.0074 0.0000
0.0000 0.0000 7.9968
Dy Bi
12 8
direct
0.0000 0.1349 0.2500
0.0000 0.8651 0.7500
0.1484 0.4845 0.6222
0.1484 0.5155 0.1222
0.3516 0.0155 0.1222
0.3516 0.9845 0.6222
0.5000 0.3651 0.7500
0.5000 0.6349 0.2500
0.6484 0.0155 0.3778
0.6484 0.9845 0.8778
0.8516 0.4845 0.8778
0.8516 0.5155 0.3778
0.1497 0.2002 0.8880
0.1497 0.7998 0.3880
0.3503 0.2998 0.3880
0.3503 0.7002 0.8880
0.6497 0.2998 0.1120
0.6497 0.7002 0.6120
0.8503 0.2002 0.6120
0.8503 0.7998 0.1120
```

=====

Record 3
K3Np3TiSe8: computed powder diffractogram (Cu Kα (λ = 1.5418 Å)), based on a structure optimized by DFT (GGA-PBE).
Peak positions follow from Bragg's law for the DFT cell and can differ from measured ones.

Peak list (12 most intense, 2θ = 10–80°, in order of falling intensity)
d (Å)  2θ/deg  intensity
3.040  29.4  100
7.851  11.3  97
2.266  39.8  35
2.050  44.2  34
2.442  36.8  33
3.510  25.4  20
1.983  45.8  20
1.699  54.0  18
1.246  76.4  17
1.833  49.7  16
1.308  72.2  16
1.520  60.9  15

```
K3Np3TiSe8
1.0
4.0991 2.3666 7.8506
-4.0991 2.3666 7.8506
0.0000 -4.7333 7.8506
K Np Ti Se
3 3 1 8
direct
0.0000 0.5000 0.5000
0.5000 0.0000 0.5000
0.5000 0.5000 0.0000
0.0000 0.0000 0.5000
0.0000 0.5000 0.0000
0.5000 0.0000 0.0000
0.5000 0.5000 0.5000
0.2361 0.2361 0.2361
0.2516 0.7207 0.7207
0.2793 0.2793 0.7484
0.2793 0.7484 0.2793
0.7207 0.2516 0.7207
0.7207 0.7207 0.2516
0.7484 0.2793 0.2793
0.7639 0.7639 0.7639
```

=====

Record 4
Ac2Pr4Er5: computed powder diffractogram (Cu Kα (λ = 1.5418 Å)), based on a structure optimized by DFT (GGA-PBE).
Peak positions follow from Bragg's law for the DFT cell and can differ from measured ones.

Peak list (12 most intense, 2θ = 10–80°, in order of falling intensity)
d (Å)  2θ/deg  intensity
2.951  30.3  100
2.708  33.1  78
3.002  29.8  53
3.064  29.1  42
2.394  37.6  17
1.590  58.0  16
1.874  48.6  16
1.781  51.3  14
1.622  56.8  13
1.599  57.7  13
1.902  47.8  11
1.807  50.5  10

```
Ac2Pr4Er5
1.0
12.1712 -1.8742 0.0000
12.1712 1.8742 0.0000
-3.3014 0.0000 8.4775
Ac Pr Er
2 4 5
direct
0.1089 0.1089 0.4468
0.8911 0.8911 0.5532
0.1841 0.1841 0.8888
0.4584 0.4584 0.2824
0.5416 0.5416 0.7176
0.8159 0.8159 0.1112
0.0000 0.0000 0.0000
0.2482 0.2482 0.3356
0.3741 0.3741 0.8789
0.6259 0.6259 0.1211
0.7518 0.7518 0.6644
```

=====

Record 5
SrTmBr5: computed powder diffractogram (Cu Kα (λ = 1.5418 Å)), based on a structure optimized by DFT (GGA-PBE).
Peak positions follow from Bragg's law for the DFT cell and can differ from measured ones.

Peak list (12 most intense, 2θ = 10–80°, in order of falling intensity)
d (Å)  2θ/deg  intensity
5.038  17.6  100
2.858  31.3  76
6.790  13.0  66
3.299  27.0  43
3.188  28.0  41
4.399  20.2  39
2.828  31.6  33
2.168  41.7  28
2.263  39.8  24
2.326  38.7  23
2.034  44.5  22
2.542  35.3  21

```
SrTmBr5
1.0
5.1876 -5.3384 0.0000
5.1876 5.3384 0.0000
-4.3146 0.0000 9.6942
Sr Tm Br
2 2 10
direct
0.0764 0.9236 0.7500
0.9236 0.0764 0.2500
0.0000 0.5000 0.0000
0.5000 0.0000 0.5000
0.2087 0.2091 0.0417
0.2091 0.2087 0.5417
0.2235 0.6053 0.8658
0.2256 0.7744 0.2500
0.3947 0.7765 0.6342
0.6053 0.2235 0.3658
0.7744 0.2256 0.7500
0.7765 0.3947 0.1342
0.7909 0.7913 0.4583
0.7913 0.7909 0.9583
```

=====

Record 6
Cs3Cd8Hg3: computed powder diffractogram (Cu Kα (λ = 1.5418 Å)), based on a structure optimized by DFT (GGA-PBE).
Peak positions follow from Bragg's law for the DFT cell and can differ from measured ones.

Peak list (12 most intense, 2θ = 10–80°, in order of falling intensity)
d (Å)  2θ/deg  intensity
3.389  26.3  100
2.357  38.2  59
6.788  13.0  44
3.111  28.7  44
2.549  35.2  42
2.514  35.7  35
2.436  36.9  32
2.038  44.5  23
3.923  22.7  23
1.761  51.9  20
2.396  37.5  19
1.813  50.3  18

```
Cs3Cd8Hg3
1.0
-2.5487 6.7881 7.2239
2.5487 -6.7881 7.2239
2.5487 6.7881 -7.2239
Cs Cd Hg
3 8 3
direct
0.0000 0.0000 0.0000
0.3074 0.3074 0.0000
0.6926 0.6926 0.0000
0.0082 0.3007 0.7076
0.1862 0.8992 0.2870
0.3877 0.1008 0.2870
0.4069 0.6993 0.7076
0.5931 0.3007 0.2924
0.6123 0.8992 0.7130
0.8138 0.1008 0.7130
0.9918 0.6993 0.2924
0.2219 0.5000 0.7219
0.5000 0.0000 0.5000
0.7781 0.5000 0.2781
```

=====

Record 7
Be3C2: computed powder diffractogram (Cu Kα (λ = 1.5418 Å)), based on a structure optimized by DFT (GGA-PBE).
Peak positions follow from Bragg's law for the DFT cell and can differ from measured ones.

Peak list (11 most intense, 2θ = 10–80°, in order of falling intensity)
d (Å)  2θ/deg  intensity
1.705  53.8  100
1.517  61.1  99
2.267  39.8  90
2.628  34.1  56
2.239  40.3  43
1.256  75.7  23
1.298  72.9  16
1.261  75.4  9
1.493  62.2  7
1.314  71.8  3
4.479  19.8  1

```
Be3C2
1.0
3.0350 0.0000 0.0000
-1.5175 2.6284 0.0000
0.0000 0.0000 4.4786
Be C
3 2
direct
0.0000 0.0000 0.0000
0.3333 0.6667 0.3286
0.6667 0.3333 0.6714
0.3333 0.6667 0.7537
0.6667 0.3333 0.2463
```

=====

Record 8
AcBiF6: computed powder diffractogram (Cu Kα (λ = 1.5418 Å)), based on a structure optimized by DFT (GGA-PBE).
Peak positions follow from Bragg's law for the DFT cell and can differ from measured ones.

Peak list (12 most intense, 2θ = 10–80°, in order of falling intensity)
d (Å)  2θ/deg  intensity
3.266  27.3  100
2.070  43.7  44
3.786  23.5  41
2.015  45.0  38
3.622  24.6  36
2.617  34.3  31
1.633  56.3  24
1.811  50.4  18
1.610  57.2  16
1.203  79.7  16
1.347  69.8  15
2.090  43.3  15

```
AcBiF6
1.0
4.1803 0.0000 0.0000
0.0000 3.6216 3.7859
0.0000 -3.6216 3.7859
Ac Bi F
1 1 6
direct
0.0000 0.0000 0.0000
0.5000 0.4898 0.4898
0.0000 0.3562 0.3562
0.0000 0.4623 0.8303
0.0000 0.8303 0.4623
0.5000 0.0978 0.7104
0.5000 0.1947 0.1947
0.5000 0.7104 0.0978
```

=====

Record 9
Tb3AlSi6Ni2: computed powder diffractogram (Cu Kα (λ = 1.5418 Å)), based on a structure optimized by DFT (GGA-PBE).
Peak positions follow from Bragg's law for the DFT cell and can differ from measured ones.

Peak list (12 most intense, 2θ = 10–80°, in order of falling intensity)
d (Å)  2θ/deg  intensity
2.819  31.7  100
3.126  28.6  81
4.187  21.2  64
2.317  38.9  57
2.093  43.2  41
2.338  38.5  40
1.409  66.3  36
1.878  48.5  29
1.681  54.6  27
1.367  68.7  24
1.955  46.5  22
1.628  56.5  20

```
Tb3AlSi6Ni2
1.0
5.6382 0.0000 0.0000
-2.8191 4.8829 0.0000
0.0000 0.0000 8.1369
Tb Al Si Ni
3 1 6 2
direct
0.0000 0.0000 0.0000
0.3333 0.6667 0.6066
0.6667 0.3333 0.3934
0.0000 0.0000 0.5000
0.1893 0.3787 0.2736
0.1893 0.8107 0.2736
0.3787 0.1893 0.7264
0.6213 0.8107 0.2736
0.8107 0.1893 0.7264
0.8107 0.6213 0.7264
0.3333 0.6667 0.0472
0.6667 0.3333 0.9528
```

=====

Record 10
ErTlPb3: computed powder diffractogram (Cu Kα (λ = 1.5418 Å)), based on a structure optimized by DFT (GGA-PBE).
Peak positions follow from Bragg's law for the DFT cell and can differ from measured ones.

Peak list (12 most intense, 2θ = 10–80°, in order of falling intensity)
d (Å)  2θ/deg  intensity
2.854  31.3  100
2.762  32.4  80
2.740  32.7  77
2.539  35.3  53
2.529  35.5  52
3.041  29.4  48
2.497  36.0  33
2.507  35.8  33
2.086  43.4  25
3.080  29.0  24
1.436  64.9  23
1.575  58.6  21

```
ErTlPb3
1.0
5.7077 0.0000 0.0000
-0.0011 6.6479 0.0000
-2.7779 -0.1383 7.8490
Er Tl Pb
2 2 6
direct
0.1830 0.2504 0.3664
0.8170 0.7496 0.6336
0.3890 0.5161 0.7763
0.6110 0.4839 0.2237
0.0000 0.0000 0.0000
0.0000 0.5000 0.0000
0.1976 0.7495 0.3980
0.3844 0.0223 0.7635
0.6156 0.9777 0.2365
0.8024 0.2505 0.6020
```

=====

Record 11
HoEr2Ir3: computed powder diffractogram (Cu Kα (λ = 1.5418 Å)), based on a structure optimized by DFT (GGA-PBE).
Peak positions follow from Bragg's law for the DFT cell and can differ from measured ones.

Peak list (5 most intense, 2θ = 10–80°, in order of falling intensity)
d (Å)  2θ/deg  intensity
2.406  37.4  100
1.389  67.4  36
1.701  53.9  18
1.203  79.7  11
3.402  26.2  1

```
HoEr2Ir3
1.0
4.8121 0.0000 0.0000
-2.4060 4.1674 0.0000
0.0000 0.0000 5.8907
Ho Er Ir
1 2 3
direct
0.0000 0.0000 0.0000
0.3333 0.6667 0.6663
0.6667 0.3333 0.3337
0.0000 0.0000 0.5000
0.3333 0.6667 0.1674
0.6667 0.3333 0.8326
```

=====

Record 12
SrLi: computed powder diffractogram (Cu Kα (λ = 1.5418 Å)), based on a structure optimized by DFT (GGA-PBE).
Peak positions follow from Bragg's law for the DFT cell and can differ from measured ones.

Peak list (12 most intense, 2θ = 10–80°, in order of falling intensity)
d (Å)  2θ/deg  intensity
3.715  24.0  100
3.029  29.5  76
2.879  31.1  38
1.690  54.3  34
2.086  43.4  27
1.785  51.2  25
1.982  45.8  19
4.538  19.6  17
2.431  37.0  15
2.036  44.5  14
1.420  65.7  14
1.300  72.7  10

```
SrLi
1.0
4.0719 0.0000 0.0000
0.0000 4.0719 0.0000
0.0000 0.0000 9.0756
Sr Li
2 2
direct
0.2500 0.2500 0.1757
0.7500 0.7500 0.8243
0.2500 0.2500 0.5674
0.7500 0.7500 0.4326
```